This entry pairs a crystal structure of MgTiS2 with its calculated powder diffraction line list. Radiation: CuKα. Structure: a crystal structure in the Materials Project, relaxed with GGA-PBE.

Structural model:
abc: 3.557 3.557 6.763
angles: 90.32 90.32 59.96
Sites, in units of the cell vectors:
1 Mg 0.000 0.000 0.000
2 Ti 0.337 0.337 0.441
3 S 0.005 0.005 0.643
4 S 0.669 0.669 0.204

Most intense lines, 10° ≤ 2θ ≤ 90°, in order of rising 2θ:
13.09°, d 6.763, intensity 63; 31.84°, d 2.811, intensity 49; 31.97°, d 2.799, intensity 100; 39.45°, d 2.284, intensity 35; 39.65°, d 2.273, intensity 60; 50.06°, d 1.822, intensity 44; 50.30°, d 1.814, intensity 24; 51.38°, d 1.778, intensity 62; 61.74°, d 1.502, intensity 12; 74.78°, d 1.270, intensity 13


This entry pairs a crystal structure of Tb4InRh with its calculated powder diffraction line list. Radiation: CuKα. Structure: a crystal structure in the Materials Project, relaxed with GGA-PBE.

Structural model:
abc: 9.707 9.707 9.707
angles: 60.00 60.00 60.00
Sites, in units of the cell vectors:
1 Tb 0.060 0.060 0.440
2 Tb 0.060 0.440 0.060
3 Tb 0.060 0.440 0.440
4 Tb 0.188 0.188 0.812
5 Tb 0.188 0.812 0.188
6 Tb 0.188 0.812 0.812
7 Tb 0.201 0.600 0.600
8 Tb 0.440 0.060 0.060
9 Tb 0.440 0.060 0.440
10 Tb 0.440 0.440 0.060
11 Tb 0.600 0.201 0.600
12 Tb 0.600 0.600 0.201
13 Tb 0.600 0.600 0.600
14 Tb 0.812 0.188 0.188
15 Tb 0.812 0.188 0.812
16 Tb 0.812 0.812 0.188
17 In 0.503 0.832 0.832
18 In 0.832 0.503 0.832
19 In 0.832 0.832 0.503
20 In 0.832 0.832 0.832
21 Rh 0.392 0.392 0.392
22 Rh 0.392 0.392 0.823
23 Rh 0.392 0.823 0.392
24 Rh 0.823 0.392 0.392

Most intense lines, 10° ≤ 2θ ≤ 90°, in order of rising 2θ:
28.34°, d 3.149, intensity 25; 31.94°, d 2.802, intensity 51; 33.93°, d 2.642, intensity 100; 37.05°, d 2.427, intensity 32; 54.73°, d 1.677, intensity 10; 56.92°, d 1.618, intensity 47; 58.20°, d 1.585, intensity 13; 67.94°, d 1.380, intensity 15; 85.83°, d 1.132, intensity 14; 87.64°, d 1.113, intensity 15